Diffraction record for Na2Cu2O3. The PXRD pattern is theoretical, not measured: it uses a structure optimized by DFT (PBE) and Cu Ka.
Kinematic intensities with the Lorentz-polarization factor, no thermal factor.

Crystal structure
Cell lengths 6.6158, 6.6158, 6.6158 Å; angles 109.47, 109.47, 109.47 degrees
Element x y z (fractional)
Na 0.0000 0.5401 0.5000
Na 0.5000 0.0000 0.5401
Na 0.5401 0.5000 0.0000
Na 0.9599 0.9599 0.9599
Cu 0.0000 0.0984 0.5000
Cu 0.0984 0.5000 0.0000
Cu 0.4016 0.4016 0.4016
Cu 0.5000 0.0000 0.0984
O 0.1688 0.7500 0.9188
O 0.2500 0.5812 0.3312
O 0.3312 0.2500 0.5812
O 0.5812 0.3312 0.2500
O 0.7500 0.9188 0.1688
O 0.9188 0.1688 0.7500

The 12 most intense peaks (5 to 70 degrees two-theta), in order of falling intensity:
- 2θ = 33.2°, I = 100
- 2θ = 28.6°, I = 80
- 2θ = 44.4°, I = 72
- 2θ = 16.4°, I = 64
- 2θ = 61.9°, I = 48
- 2θ = 23.3°, I = 47
- 2θ = 37.2°, I = 39
- 2θ = 67.1°, I = 34
- 2θ = 56.5°, I = 27
- 2θ = 59.3°, I = 18
- 2θ = 47.6°, I = 15
- 2θ = 50.7°, I = 5